No. 1
# TiZnO3
Simulated powder XRD pattern, Cu Kα (weighted mean of Kα1 and Kα2). Input: a DFT-relaxed cell (PBE, the Materials Project).
Lines closer than 0.1° are merged.

Structure:
```
data_TiZnO3
_chemical_formula_sum 'Ti6 Zn6 O18'
_cell_length_a 5.1292
_cell_length_b 5.1292
_cell_length_c 14.0839
_cell_angle_alpha 90.00
_cell_angle_beta 90.00
_cell_angle_gamma 120.00
_symmetry_space_group_name_H-M 'R -3'
_symmetry_Int_Tables_number 148
_symmetry_space_group_name_Hall '-R 3'
loop_
_atom_site_label
_atom_site_type_symbol
_atom_site_fract_x
_atom_site_fract_y
_atom_site_fract_z
_atom_site_occupancy
Ti1 Ti 0.0000 0.0000 0.1456 1
Zn1 Zn 0.0000 0.0000 0.3607 1
O1 O 0.0155 0.3707 0.4212 1
```

Top 10 peaks for 2θ from 10° to 90°, in order of rising 2θ:
Position (°2θ)	d (Å)	intensity
23.68	3.757	19.7
32.45	2.759	100.0
34.99	2.565	68.1
40.06	2.251	20.9
48.46	1.879	38.0
52.88	1.732	35.6
56.20	1.637	12.2
61.16	1.515	33.1
62.75	1.481	29.6
83.05	1.163	10.8

No. 2
# TiZnO3
Simulated powder XRD pattern, Cu Kα (weighted mean of Kα1 and Kα2). Input: a DFT-relaxed cell (PBE, the Materials Project).
Lines closer than 0.1° are merged.

Structure:
```
data_TiZnO3
_chemical_formula_sum 'Ti2 Zn2 O6'
_cell_length_a 5.547
_cell_length_b 5.675
_cell_length_c 5.917
_cell_angle_alpha 65.49
_cell_angle_beta 64.00
_cell_angle_gamma 68.24
_symmetry_space_group_name_H-M 'P -1'
_symmetry_Int_Tables_number 2
_symmetry_space_group_name_Hall '-P 1'
loop_
_atom_site_label
_atom_site_type_symbol
_atom_site_fract_x
_atom_site_fract_y
_atom_site_fract_z
_atom_site_occupancy
Ti1 Ti 0.248 0.412 0.084 1
Zn1 Zn 0.071 0.922 0.257 1
O1 O 0.050 0.274 0.966 1
O2 O 0.198 0.154 0.392 1
O3 O 0.394 0.644 0.151 1
```

Top 10 peaks for 2θ from 10° to 90°, in order of rising 2θ:
Position (°2θ)	d (Å)	intensity
17.50	5.069	58.7
18.29	4.851	100.0
20.64	4.303	72.1
28.37	3.146	46.9
28.55	3.127	40.5
29.46	3.032	31.2
33.95	2.641	27.3
40.73	2.215	58.9
49.77	1.832	25.1
51.49	1.775	24.9

No. 3
# Ti3Zn2O8
Simulated powder XRD pattern, Cu Kα (weighted mean of Kα1 and Kα2). Input: a DFT-relaxed cell (PBE, the Materials Project).
Lines closer than 0.1° are merged.

Structure:
```
data_Ti3Zn2O8
_chemical_formula_sum 'Ti6 Zn4 O16'
_cell_length_a 10.498
_cell_length_b 5.991
_cell_length_c 5.017
_cell_angle_alpha 90.00
_cell_angle_beta 112.45
_cell_angle_gamma 90.00
_symmetry_space_group_name_H-M 'C 1 2/m 1'
_symmetry_Int_Tables_number 12
_symmetry_space_group_name_Hall '-C 2y'
loop_
_atom_site_label
_atom_site_type_symbol
_atom_site_fract_x
_atom_site_fract_y
_atom_site_fract_z
_atom_site_occupancy
Ti1 Ti 0.000 0.000 0.000 1
Ti2 Ti 0.000 0.267 0.500 1
Zn1 Zn 0.215 0.500 0.152 1
O1 O 0.105 0.500 0.427 1
O2 O 0.108 0.000 0.422 1
O3 O 0.114 0.227 0.910 1
```

Top 10 peaks for 2θ from 10° to 90°, in order of rising 2θ:
Position (°2θ)	d (Å)	intensity
20.84	4.262	26.9
28.50	3.132	88.4
30.85	2.898	100.0
31.40	2.849	73.8
35.21	2.549	52.8
36.67	2.451	40.8
46.15	1.967	29.6
46.29	1.961	39.4
58.03	1.589	49.4
63.86	1.458	42.8

No. 4
# TiZnO3
Simulated powder XRD pattern, Cu Kα (weighted mean of Kα1 and Kα2). Input: a DFT-relaxed cell (PBE, the Materials Project).
Lines closer than 0.1° are merged.

Structure:
```
data_TiZnO3
_chemical_formula_sum 'Ti6 Zn6 O18'
_cell_length_a 5.1419
_cell_length_b 5.1419
_cell_length_c 13.9517
_cell_angle_alpha 90.00
_cell_angle_beta 90.00
_cell_angle_gamma 120.00
_symmetry_space_group_name_H-M 'R 3 c'
_symmetry_Int_Tables_number 161
_symmetry_space_group_name_Hall 'R 3 -2"c'
loop_
_atom_site_label
_atom_site_type_symbol
_atom_site_fract_x
_atom_site_fract_y
_atom_site_fract_z
_atom_site_occupancy
Ti1 Ti 0.0000 0.0000 0.0000 1
Zn1 Zn 0.0000 0.0000 0.2213 1
O1 O 0.0085 0.3762 0.2711 1
```

Top 10 peaks for 2θ from 10° to 90°, in order of rising 2θ:
Position (°2θ)	d (Å)	intensity
23.70	3.753	19.0
32.61	2.746	100.0
34.90	2.571	65.9
40.07	2.250	15.0
48.51	1.877	40.0
53.11	1.725	28.2
56.69	1.624	14.7
61.14	1.516	32.9
62.58	1.484	27.8
82.93	1.164	10.9

No. 5
# Ti3Zn2O8
Simulated powder XRD pattern, Cu Kα (weighted mean of Kα1 and Kα2). Input: a DFT-relaxed cell (PBE, the Materials Project).
Lines closer than 0.1° are merged.

Structure:
```
data_Ti3Zn2O8
_chemical_formula_sum 'Ti6 Zn4 O16'
_cell_length_a 5.9669
_cell_length_b 5.9669
_cell_length_c 9.5532
_cell_angle_alpha 90.00
_cell_angle_beta 90.00
_cell_angle_gamma 120.00
_symmetry_space_group_name_H-M 'P 63 m c'
_symmetry_Int_Tables_number 186
_symmetry_space_group_name_Hall 'P 6c -2c'
loop_
_atom_site_label
_atom_site_type_symbol
_atom_site_fract_x
_atom_site_fract_y
_atom_site_fract_z
_atom_site_occupancy
Ti1 Ti 0.1627 0.3254 0.0000 1
Zn1 Zn 0.3333 0.6667 0.2853 1
Zn2 Zn 0.3333 0.6667 0.6743 1
O1 O 0.0000 0.0000 0.1064 1
O2 O 0.0361 0.5181 0.1221 1
O3 O 0.1630 0.3259 0.4023 1
O4 O 0.3333 0.6667 0.8894 1
```

Top 10 peaks for 2θ from 10° to 90°, in order of rising 2θ:
Position (°2θ)	d (Å)	intensity
25.39	3.508	77.9
29.95	2.983	31.2
33.04	2.711	90.9
34.72	2.584	27.4
35.48	2.530	100.0
36.01	2.494	59.0
55.17	1.665	54.3
56.82	1.620	23.8
60.24	1.536	62.0
62.24	1.492	54.0

No. 6
# Ti3ZnO7
Simulated powder XRD pattern, Cu Kα (weighted mean of Kα1 and Kα2). Input: a DFT-relaxed cell (PBE, the Materials Project).
Lines closer than 0.1° are merged.

Structure:
```
data_Ti3ZnO7
_chemical_formula_sum 'Ti12 Zn4 O28'
_cell_length_a 10.158
_cell_length_b 10.441
_cell_length_c 5.541
_cell_angle_alpha 90.00
_cell_angle_beta 90.00
_cell_angle_gamma 90.00
_symmetry_space_group_name_H-M 'P n m a'
_symmetry_Int_Tables_number 62
_symmetry_space_group_name_Hall '-P 2ac 2n'
loop_
_atom_site_label
_atom_site_type_symbol
_atom_site_fract_x
_atom_site_fract_y
_atom_site_fract_z
_atom_site_occupancy
Ti1 Ti 0.194 0.034 0.236 1
Ti2 Ti 0.225 0.250 0.727 1
Zn1 Zn 0.042 0.750 0.602 1
O1 O 0.040 0.099 0.241 1
O2 O 0.058 0.250 0.708 1
O3 O 0.211 0.622 0.473 1
O4 O 0.222 0.614 0.007 1
```

Top 10 peaks for 2θ from 10° to 90°, in order of rising 2θ:
Position (°2θ)	d (Å)	intensity
17.46	5.079	50.6
18.24	4.864	45.7
24.45	3.640	56.6
25.02	3.559	52.6
25.27	3.524	72.9
29.36	3.042	100.0
30.33	2.947	43.2
35.21	2.549	32.6
35.34	2.540	29.8
51.35	1.779	46.6

No. 7
# Ti3Zn2O8
Simulated powder XRD pattern, Cu Kα (weighted mean of Kα1 and Kα2). Input: a DFT-relaxed cell (PBE, the Materials Project).
Lines closer than 0.1° are merged.

Structure:
```
data_Ti3Zn2O8
_chemical_formula_sum 'Ti9 Zn6 O24'
_cell_length_a 6.0133
_cell_length_b 6.0133
_cell_length_c 14.3853
_cell_angle_alpha 90.00
_cell_angle_beta 90.00
_cell_angle_gamma 120.00
_symmetry_space_group_name_H-M 'R -3 m'
_symmetry_Int_Tables_number 166
_symmetry_space_group_name_Hall '-R 3 2"'
loop_
_atom_site_label
_atom_site_type_symbol
_atom_site_fract_x
_atom_site_fract_y
_atom_site_fract_z
_atom_site_occupancy
Ti1 Ti 0.0000 0.5000 0.0000 1
Zn1 Zn 0.0000 0.0000 0.1156 1
O1 O 0.0000 0.0000 0.2568 1
O2 O 0.0233 0.5116 0.2641 1
```

Top 10 peaks for 2θ from 10° to 90°, in order of rising 2θ:
Position (°2θ)	d (Å)	intensity
18.50	4.795	29.5
29.71	3.007	25.5
30.20	2.959	93.2
35.02	2.562	100.0
35.23	2.547	61.1
35.65	2.518	41.4
53.04	1.727	32.0
56.66	1.625	27.0
61.70	1.503	45.8
62.80	1.480	35.9

Number 7 is which compound? Ti3Zn2O8